The following is a simulated PXRD pattern of Li9Mn2Co5O16. It was derived from a DFT-relaxed cell (GGA+U, the Materials Project), using a wavelength of 1.5418 Å.
Neutral-atom scattering factors, no anomalous dispersion.

Cell and atoms:
```
Li9Mn2Co5O16
1.0
5.007 0.000 0.000
-1.692 7.542 0.000
-1.566 -1.441 7.469
Li Mn Co O
9 2 5 16
Cartesian
0.000 0.000 0.000
-1.586 2.979 3.645
-0.766 0.398 2.744
0.839 1.882 4.536
0.927 -0.294 6.448
0.898 4.173 2.712
0.901 6.444 0.931
3.437 0.821 5.437
3.340 5.353 1.810
1.712 1.494 1.841
2.547 5.772 4.529
-0.803 2.556 0.930
0.059 4.566 5.526
0.098 2.326 7.398
1.733 -0.697 3.641
2.567 3.441 6.458
-1.630 5.272 6.292
-0.785 2.726 5.559
-0.841 5.085 3.711
0.111 -0.097 4.553
0.088 4.427 0.725
0.141 2.272 2.634
0.904 1.877 0.087
1.008 -0.284 1.889
2.456 1.095 3.561
0.910 4.202 7.330
2.534 3.285 1.784
0.922 6.449 5.362
1.686 1.699 6.564
3.324 0.881 0.880
1.672 6.080 2.879
1.699 3.974 4.659
```

Most intense lines, 5 to 70 degrees two-theta, in order of falling intensity:
two_theta, Rel. int.
18.40, 100
43.36, 28
43.97, 27
44.17, 26
63.23, 14
35.90, 14
36.48, 14
36.34, 13
47.88, 9
37.92, 7
63.96, 7
63.56, 7

---

The following is a simulated PXRD pattern of KCoH3C3O6. It was derived from a DFT-relaxed cell (GGA+U, the Materials Project), using a wavelength of 1.5418 Å.
Neutral-atom scattering factors, no anomalous dispersion.

Cell and atoms:
```
KCoH3C3O6
1.0
7.245 0.000 0.000
-3.622 6.274 0.000
0.000 0.000 8.394
K Co H C O
2 2 6 6 12
Cartesian
0.000 0.000 2.098
0.000 0.000 6.295
0.000 4.183 2.098
3.622 2.091 6.295
-1.495 2.590 0.000
-2.127 3.684 4.197
2.991 0.000 0.000
1.495 2.590 4.197
4.254 0.000 4.197
2.127 3.684 0.000
-1.576 2.730 4.197
-2.046 3.544 0.000
3.152 0.000 4.197
1.576 2.730 0.000
4.093 0.000 0.000
2.046 3.544 4.197
-0.699 2.551 3.293
-1.762 4.394 0.904
0.699 2.551 0.904
-1.064 5.604 3.293
2.559 0.670 5.100
1.860 1.881 7.490
1.762 4.394 3.293
1.064 5.604 0.904
4.686 0.670 7.490
2.924 3.723 5.100
5.385 1.881 5.100
4.321 3.723 7.490
```

Most intense lines, 5 to 70 degrees two-theta, in order of falling intensity:
two_theta, Rel. int.
17.65, 100
32.66, 55
43.30, 25
26.81, 25
50.43, 14
50.25, 13
24.58, 11
39.49, 10
43.85, 10
48.64, 10
68.44, 8
53.80, 8

---

The following is a simulated PXRD pattern of Li9Mn2Co5O16. It was derived from a DFT-relaxed cell (GGA+U, the Materials Project), using a wavelength of 1.5418 Å.
Neutral-atom scattering factors, no anomalous dispersion.

Cell and atoms:
```
Li9Mn2Co5O16
1.0
2.982 0.000 0.000
1.181 7.735 0.000
0.063 0.176 12.582
Li Mn Co O
9 2 5 16
Cartesian
0.000 0.000 0.000
1.246 6.936 8.584
1.300 5.846 4.750
1.360 4.029 9.368
1.447 1.941 1.574
2.730 7.780 6.379
2.851 5.913 10.948
2.869 3.896 3.156
2.982 1.936 7.845
1.540 1.037 10.170
2.739 6.783 2.362
1.320 4.809 0.753
1.425 2.982 5.535
2.840 4.995 7.135
2.969 3.020 11.785
2.964 1.024 3.961
1.237 7.559 10.561
1.203 6.232 6.712
1.286 4.414 11.436
1.437 5.343 2.662
1.528 3.533 7.367
1.447 2.450 3.653
1.623 1.678 12.073
1.517 0.653 8.383
2.678 7.353 4.229
2.755 6.218 0.465
2.837 5.323 8.856
2.888 4.383 5.288
2.855 3.436 1.025
3.028 2.368 9.959
2.961 1.550 5.808
2.869 0.496 2.058
```

Most intense lines, 5 to 70 degrees two-theta, in order of falling intensity:
two_theta, Rel. int.
18.30, 100
41.90, 32
43.71, 27
44.61, 25
34.88, 18
36.04, 13
36.57, 11
7.03, 10
61.98, 8
62.32, 8
63.01, 8
62.70, 8

---

The following is a simulated PXRD pattern of Li2Si3NiO8. It was derived from a DFT-relaxed cell (GGA+U, the Materials Project), using a wavelength of 1.5418 Å.
Neutral-atom scattering factors, no anomalous dispersion.

Cell and atoms:
```
Li2Si3NiO8
1.0
4.936 0.000 0.000
0.000 10.080 0.000
-0.068 0.000 6.779
Li Si Ni O
4 6 2 16
Cartesian
0.329 0.000 1.691
1.995 3.079 1.789
2.872 8.119 4.990
4.539 5.040 5.088
0.221 7.402 3.257
1.994 5.569 0.182
2.136 3.129 5.248
2.732 8.169 1.532
2.873 0.529 6.597
4.646 2.362 3.522
0.340 9.934 5.073
4.527 4.894 1.707
0.028 0.795 3.403
0.073 3.069 2.125
0.400 5.515 0.004
0.556 3.100 4.794
1.818 7.738 2.834
2.306 9.735 1.145
2.303 9.896 5.268
2.344 2.145 6.587
2.524 7.185 0.192
2.565 4.856 1.511
2.561 4.695 5.635
3.049 2.699 3.945
4.312 8.140 1.985
4.468 0.476 6.775
4.794 8.109 4.654
4.839 5.835 3.376
```

Most intense lines, 5 to 70 degrees two-theta, in order of falling intensity:
two_theta, Rel. int.
15.75, 100
22.17, 75
24.09, 68
31.82, 58
21.98, 57
36.41, 45
35.63, 41
29.67, 40
61.62, 31
33.12, 18
23.89, 16
28.62, 15

---

The following is a simulated PXRD pattern of Ti3FeCo2P6O24. It was derived from a DFT-relaxed cell (GGA+U, the Materials Project), using a wavelength of 1.5418 Å.
Neutral-atom scattering factors, no anomalous dispersion.

Cell and atoms:
```
Ti3FeCo2P6O24
1.0
4.330 2.500 6.944
-4.330 2.500 6.944
0.000 -5.000 6.944
Ti Fe Co P O
3 1 2 6 24
Cartesian
0.000 0.000 0.000
0.000 0.000 4.478
0.000 0.000 14.862
0.000 0.000 10.400
0.000 0.000 7.466
0.000 0.000 17.864
-3.069 0.307 9.174
-1.261 -2.192 12.625
1.269 -2.812 9.174
-1.268 2.188 12.625
1.800 2.505 9.174
2.529 0.004 12.625
-3.586 1.067 7.934
-0.891 -1.236 5.825
-2.808 -2.374 12.577
-3.504 1.103 10.428
0.869 -3.639 7.934
-1.542 0.175 9.022
-0.625 1.390 5.825
-0.839 -1.474 11.364
0.797 -3.587 10.428
0.620 -1.423 9.022
1.516 -0.154 5.825
-0.820 -1.399 13.886
-0.857 1.463 11.364
-1.518 -0.175 16.230
0.923 1.248 9.022
-0.801 1.410 13.886
1.696 0.011 11.364
-0.652 3.618 12.577
0.910 -1.227 16.230
1.622 -0.011 13.886
2.717 2.572 7.934
3.459 -1.245 12.577
0.608 1.402 16.230
2.708 2.483 10.428
```

Most intense lines, 5 to 70 degrees two-theta, in order of falling intensity:
two_theta, Rel. int.
24.22, 100
20.51, 77
33.07, 66
35.92, 32
47.41, 31
49.62, 24
56.20, 21
25.24, 19
62.77, 16
31.86, 16
56.63, 15
42.25, 8

---

The following is a simulated PXRD pattern of Li7VO4F2. It was derived from a DFT-relaxed cell (GGA+U, the Materials Project), using a wavelength of 1.5418 Å.
Neutral-atom scattering factors, no anomalous dispersion.

Cell and atoms:
```
Li7VO4F2
1.0
5.527 0.000 0.000
2.694 5.211 0.000
0.065 2.940 9.394
Li V O F
14 2 8 4
Cartesian
0.000 0.000 0.000
1.676 5.667 8.147
1.090 2.527 2.831
0.779 2.243 4.842
3.590 3.960 6.610
4.065 4.274 4.567
4.588 6.681 9.372
3.033 1.082 1.198
3.639 4.131 8.751
3.130 1.433 3.542
5.227 6.602 7.507
7.068 5.276 5.953
7.833 5.385 1.895
6.653 2.518 0.568
0.428 2.985 7.305
4.193 3.794 2.261
1.741 3.746 6.649
2.878 3.586 0.521
3.955 5.981 3.304
1.771 3.129 8.879
2.928 2.884 2.762
5.298 5.067 8.166
4.945 1.798 1.261
7.044 7.246 7.527
3.510 5.720 6.045
5.953 4.788 1.782
4.443 2.623 5.243
5.845 4.097 4.171
```

Most intense lines, 5 to 70 degrees two-theta, in order of falling intensity:
two_theta, Rel. int.
32.25, 100
17.51, 89
36.17, 81
18.49, 81
19.37, 78
18.89, 66
21.69, 55
46.27, 50
50.87, 45
45.00, 34
46.51, 33
28.56, 29

---

The following is a simulated PXRD pattern of UV2O6. It was derived from a DFT-relaxed cell (GGA+U, the Materials Project), using a wavelength of 1.5418 Å.
Neutral-atom scattering factors, no anomalous dispersion.

Cell and atoms:
```
UV2O6
1.0
5.127 0.000 0.000
-2.564 4.441 0.000
0.000 0.000 4.704
U V O
1 2 6
Cartesian
0.000 0.000 0.000
0.000 2.960 2.352
2.564 1.480 2.352
-0.862 1.494 1.234
-1.701 2.947 3.470
1.725 0.000 1.234
0.862 1.494 3.470
3.403 0.000 3.470
1.701 2.947 1.234
```

Most intense lines, 5 to 70 degrees two-theta, in order of falling intensity:
two_theta, Rel. int.
27.63, 100
20.00, 41
52.82, 29
35.00, 27
45.16, 27
58.38, 25
62.82, 21
43.55, 13
40.05, 12
40.63, 8
68.71, 7
54.69, 7